[1]
Theoretical XRD peak list
Compound: La4GeC
Radiation: Cu Kα (weighted mean of Kα1 and Kα2)
Structure: a DFT-relaxed cell (PBE, Alexandria)

Most intense lines, 10 to 90 degrees two-theta, low angle first:
2theta	intensity
14.95	20
27.22	17
27.42	24
29.17	66
30.12	100
31.62	98
32.25	49
33.42	20
37.20	18
39.34	24
39.53	22
45.93	23

Atomic structure:
```
La4GeC
1.0
4.6160 -7.1973 0.0000
4.6160 7.1973 0.0000
-3.9621 0.0000 5.2320
La Ge C
8 2 2
direct
0.0624 0.6737 0.9170 La
0.1755 0.2824 0.6520 La
0.2824 0.1755 0.1520 La
0.3263 0.9376 0.5830 La
0.6737 0.0624 0.4170 La
0.7176 0.8245 0.8480 La
0.8245 0.7176 0.3480 La
0.9376 0.3263 0.0830 La
0.3829 0.6171 0.2500 Ge
0.6171 0.3829 0.7500 Ge
0.0556 0.9444 0.2500 C
0.9444 0.0556 0.7500 C
```

***

[2]
Theoretical XRD peak list
Compound: K2AsP2
Radiation: Cu Kα (weighted mean of Kα1 and Kα2)
Structure: a DFT-relaxed cell (PBE, Alexandria)

Most intense lines, 10 to 90 degrees two-theta, low angle first:
2theta	intensity
16.70	18
29.15	62
33.78	100
37.43	10
38.41	48
45.63	12
53.96	17
57.96	23
62.51	13
63.16	10
65.20	34
89.55	11

Atomic structure:
```
K2AsP2
1.0
-1.6991 1.6991 10.6170
1.6991 -1.6991 10.6170
1.6991 1.6991 -10.6170
K As P
2 1 2
direct
0.1113 0.1113 0.0000 K
0.8887 0.8887 0.0000 K
0.5000 0.5000 0.0000 As
0.2500 0.7500 0.5000 P
0.7500 0.2500 0.5000 P
```

***

[3]
Theoretical XRD peak list
Compound: Ga3FeCo6
Radiation: Cu Kα (weighted mean of Kα1 and Kα2)
Structure: a DFT-relaxed cell (PBE, Alexandria)

Most intense lines, 10 to 90 degrees two-theta, low angle first:
2theta	intensity
34.00	1
44.56	34
44.78	100
44.87	66
64.99	20
65.56	10
82.22	10
82.36	10
82.56	20
82.65	5
82.86	15

Atomic structure:
```
Ga3FeCo6
1.0
7.0053 0.0000 0.0000
0.0000 4.0504 0.0000
-2.4160 0.0000 8.2667
Ga Fe Co
6 2 12
direct
0.0482 0.2500 0.3982 Ga
0.1532 0.7500 0.2016 Ga
0.2552 0.2500 0.9979 Ga
0.7448 0.7500 0.0021 Ga
0.8468 0.2500 0.7984 Ga
0.9518 0.7500 0.6018 Ga
0.4494 0.2500 0.6004 Fe
0.5506 0.7500 0.3996 Fe
0.0510 0.7500 0.9004 Co
0.1558 0.2500 0.6999 Co
0.2569 0.7500 0.5037 Co
0.3510 0.7500 0.7991 Co
0.3566 0.2500 0.3040 Co
0.4534 0.7500 0.1021 Co
0.5466 0.2500 0.8979 Co
0.6434 0.7500 0.6960 Co
0.6490 0.2500 0.2009 Co
0.7431 0.2500 0.4963 Co
0.8442 0.7500 0.3001 Co
0.9490 0.2500 0.0996 Co
```

***

[4]
Theoretical XRD peak list
Compound: PmSm3Er2S6
Radiation: Cu Kα (weighted mean of Kα1 and Kα2)
Structure: a DFT-relaxed cell (PBE, Alexandria)

Most intense lines, 10 to 90 degrees two-theta, low angle first:
2theta	intensity
27.53	60
27.62	20
31.92	100
45.72	48
45.86	24
54.18	16
54.29	20
56.87	12
66.72	11
75.83	16
76.03	11
84.71	8

Atomic structure:
```
PmSm3Er2S6
1.0
3.4242 -5.9506 0.0000
3.4242 5.9506 0.0000
-2.2883 0.0000 6.4907
Pm Sm Er S
1 3 2 6
direct
0.0000 0.0000 0.0000 Pm
0.1620 0.8380 0.5000 Sm
0.5000 0.5000 0.5000 Sm
0.8380 0.1620 0.5000 Sm
0.3339 0.6661 0.0000 Er
0.6661 0.3339 0.0000 Er
0.0807 0.4239 0.2426 S
0.2635 0.2635 0.7612 S
0.4239 0.0807 0.2426 S
0.5761 0.9193 0.7574 S
0.7365 0.7365 0.2388 S
0.9193 0.5761 0.7574 S
```

***

[5]
Theoretical XRD peak list
Compound: LiCd4Ge5HO15
Radiation: Cu Kα (weighted mean of Kα1 and Kα2)
Structure: a DFT-relaxed cell (PBE, Alexandria)

Most intense lines, 10 to 90 degrees two-theta, low angle first:
2theta	intensity
26.39	62
27.34	47
28.14	44
28.85	93
30.80	100
31.97	37
32.19	29
33.85	30
34.67	34
37.64	48
50.28	29
51.08	44

Atomic structure:
```
LiCd4Ge5HO15
1.0
7.1997 0.0000 0.0000
-0.6584 8.0467 0.0000
-0.6697 -3.4457 11.9733
Li Cd Ge H O
2 8 10 2 30
direct
0.1770 0.3658 0.4050 Li
0.8230 0.6342 0.5950 Li
0.2266 0.7547 0.9812 Cd
0.3136 0.9643 0.2644 Cd
0.3672 0.1842 0.5569 Cd
0.4451 0.4050 0.8489 Cd
0.5549 0.5950 0.1511 Cd
0.6328 0.8158 0.4431 Cd
0.6864 0.0357 0.7356 Cd
0.7734 0.2453 0.0188 Cd
0.0720 0.5251 0.1752 Ge
0.1420 0.7247 0.4438 Ge
0.2075 0.9926 0.7727 Ge
0.2782 0.1815 0.0405 Ge
0.3947 0.6463 0.6476 Ge
0.6053 0.3537 0.3524 Ge
0.7218 0.8185 0.9595 Ge
0.7925 0.0074 0.2273 Ge
0.8580 0.2753 0.5562 Ge
0.9280 0.4749 0.8248 Ge
0.0196 0.0860 0.3892 H
0.9804 0.9140 0.6108 H
0.0067 0.0073 0.3049 O
0.0624 0.2090 0.4950 O
0.0837 0.5440 0.3222 O
0.1038 0.2977 0.1182 O
0.1453 0.0687 0.9112 O
0.1510 0.4760 0.8872 O
0.2361 0.5905 0.5242 O
0.2451 0.6748 0.1512 O
0.2750 0.7796 0.7596 O
0.3162 0.8866 0.4360 O
0.3335 0.0112 0.0945 O
0.3824 0.1214 0.7314 O
0.4013 0.2384 0.3786 O
0.4375 0.4552 0.6783 O
0.4649 0.3239 0.0235 O
0.5351 0.6761 0.9765 O
0.5625 0.5448 0.3217 O
0.5987 0.7616 0.6214 O
0.6176 0.8786 0.2686 O
0.6665 0.9888 0.9055 O
0.6838 0.1134 0.5640 O
0.7250 0.2204 0.2404 O
0.7549 0.3252 0.8488 O
0.7639 0.4095 0.4758 O
0.8490 0.5240 0.1128 O
0.8547 0.9313 0.0888 O
0.8962 0.7023 0.8818 O
0.9163 0.4560 0.6778 O
0.9376 0.7910 0.5050 O
0.9933 0.9927 0.6951 O
```

***

[6]
Theoretical XRD peak list
Compound: Pm6Nd8In
Radiation: Cu Kα (weighted mean of Kα1 and Kα2)
Structure: a DFT-relaxed cell (PBE, Alexandria)

Most intense lines, 10 to 90 degrees two-theta, low angle first:
2theta	intensity
25.51	18
26.71	9
28.85	43
31.85	100
32.83	44
39.69	10
46.40	9
50.45	19
51.06	17
57.99	10
61.48	19
64.90	12

Atomic structure:
```
Pm6Nd8In
1.0
9.4646 0.0000 0.0000
-4.7323 8.1966 0.0000
0.0000 0.0000 6.6741
Pm Nd In
6 8 1
direct
0.0927 0.4437 0.3336 Pm
0.3510 0.9073 0.3336 Pm
0.4437 0.3510 0.6664 Pm
0.5563 0.6490 0.3336 Pm
0.6490 0.0927 0.6664 Pm
0.9073 0.5563 0.6664 Pm
0.0404 0.2694 0.8205 Nd
0.2290 0.9596 0.8205 Nd
0.2694 0.2290 0.1795 Nd
0.3333 0.6667 0.8664 Nd
0.6667 0.3333 0.1336 Nd
0.7306 0.7710 0.8205 Nd
0.7710 0.0404 0.1795 Nd
0.9596 0.7306 0.1795 Nd
0.0000 0.0000 0.5000 In
```

***

[7]
Theoretical XRD peak list
Compound: Ba3Li2Cd2As4
Radiation: Cu Kα (weighted mean of Kα1 and Kα2)
Structure: a DFT-relaxed cell (PBE, Alexandria)

Most intense lines, 10 to 90 degrees two-theta, low angle first:
2theta	intensity
22.85	38
24.67	36
27.47	50
30.98	100
37.80	14
38.97	80
39.50	25
48.33	10
50.59	25
55.41	27
65.65	23
70.58	14

Atomic structure:
```
Ba3Li2Cd2As4
1.0
4.6226 0.0000 0.0000
-2.3113 4.0033 0.0000
0.0000 0.0000 16.6597
Ba Li Cd As
3 2 2 4
direct
0.0000 0.0000 0.0000 Ba
0.0000 0.0000 0.2685 Ba
0.0000 0.0000 0.7315 Ba
0.3333 0.6667 0.1343 Li
0.6667 0.3333 0.8657 Li
0.3333 0.6667 0.5610 Cd
0.6667 0.3333 0.4390 Cd
0.3333 0.6667 0.3896 As
0.3333 0.6667 0.8663 As
0.6667 0.3333 0.1337 As
0.6667 0.3333 0.6104 As
```